Simulated powder diffractogram of H6PbS2N2 for Cu Kα, 1.54184 Å, from a GGA-PBE-relaxed structure.

Crystal structure
Lattice parameters (Å, degrees): 5.468 6.719 6.721 63.91 67.17 67.37
Element x y z (fractional)
1 H 0.017 0.263 0.261
2 H 0.274 0.803 0.569
3 H 0.275 0.569 0.803
4 H 0.725 0.431 0.197
5 H 0.726 0.197 0.431
6 H 0.983 0.737 0.739
7 Pb 0.000 0.000 0.000
8 S 0.500 0.148 0.852
9 S 0.500 0.852 0.148
10 N 0.170 0.738 0.738
11 N 0.830 0.262 0.262

The 10 most intense peaks (2θ from 10° to 90°), low angle first:
2θ 15.2, 5.826 Å, I 100
2θ 17.5, 5.076 Å, I 35
2θ 18.2, 4.868 Å, I 12
2θ 20.5, 4.334 Å, I 32
2θ 25.0, 3.556 Å, I 13
2θ 29.2, 3.056 Å, I 24
2θ 31.4, 2.847 Å, I 17
2θ 36.1, 2.489 Å, I 15
2θ 41.5, 2.175 Å, I 12
2θ 45.1, 2.012 Å, I 14

Simulated powder diffractogram of Y2CrHPd for Cu Kα, 1.54184 Å, from a GGA-PBE-relaxed structure.

Crystal structure
Lattice parameters (Å, degrees): 4.928 4.928 3.725 90.00 90.00 90.00
Element x y z (fractional)
1 Y 0.000 0.500 0.000
2 Y 0.500 0.000 0.000
3 Cr 0.000 0.000 0.500
4 H 0.000 0.000 0.000
5 Pd 0.500 0.500 0.500

The 10 most intense peaks (2θ from 10° to 90°), low angle first:
2θ 35.3, 2.545 Å, I 100
2θ 36.5, 2.464 Å, I 46
2θ 48.9, 1.862 Å, I 10
2θ 52.5, 1.742 Å, I 16
2θ 62.5, 1.486 Å, I 18
2θ 64.9, 1.438 Å, I 32
2θ 74.6, 1.272 Å, I 10
2θ 82.5, 1.170 Å, I 8
2θ 88.1, 1.109 Å, I 7
2θ 88.8, 1.102 Å, I 7

Simulated powder diffractogram of Cd3In3Hg2 for Cu Kα, 1.54184 Å, from a GGA-PBE-relaxed structure.

Crystal structure
Lattice parameters (Å, degrees): 6.046 6.046 6.046 76.37 76.37 76.37
Element x y z (fractional)
1 Cd 0.000 0.238 0.762
2 Cd 0.238 0.762 0.000
3 Cd 0.762 0.000 0.238
4 In 0.246 0.754 0.500
5 In 0.500 0.246 0.754
6 In 0.754 0.500 0.246
7 Hg 0.263 0.263 0.263
8 Hg 0.737 0.737 0.737

The 10 most intense peaks (2θ from 10° to 90°), low angle first:
2θ 31.0, 2.884 Å, I 92
2θ 31.4, 2.851 Å, I 88
2θ 31.9, 2.802 Å, I 96
2θ 37.4, 2.403 Å, I 64
2θ 39.5, 2.283 Å, I 100
2θ 41.9, 2.158 Å, I 38
2θ 49.5, 1.842 Å, I 42
2θ 51.9, 1.762 Å, I 27
2θ 59.1, 1.563 Å, I 27
2θ 64.6, 1.442 Å, I 32

Simulated powder diffractogram of Tm2HfNi9 for Cu Kα, 1.54184 Å, from a GGA-PBE-relaxed structure.

Crystal structure
Lattice parameters (Å, degrees): 8.547 8.547 8.547 33.04 33.04 33.04
Element x y z (fractional)
1 Tm 0.138 0.138 0.138
2 Tm 0.862 0.862 0.862
3 Hf 0.000 0.000 0.000
4 Ni 0.080 0.582 0.582
5 Ni 0.333 0.333 0.333
6 Ni 0.418 0.418 0.920
7 Ni 0.418 0.920 0.418
8 Ni 0.500 0.500 0.500
9 Ni 0.582 0.080 0.582
10 Ni 0.582 0.582 0.080
11 Ni 0.667 0.667 0.667
12 Ni 0.920 0.418 0.418

The 10 most intense peaks (2θ from 10° to 90°), low angle first:
2θ 33.5, 2.673 Å, I 57
2θ 36.6, 2.458 Å, I 52
2θ 37.0, 2.430 Å, I 61
2θ 43.1, 2.097 Å, I 45
2θ 43.5, 2.082 Å, I 100
2θ 64.5, 1.445 Å, I 18
2θ 66.4, 1.408 Å, I 18
2θ 70.0, 1.345 Å, I 17
2θ 71.1, 1.325 Å, I 22
2θ 78.8, 1.215 Å, I 23

Simulated powder diffractogram of LaPm2Ag3 for Cu Kα, 1.54184 Å, from a GGA-PBE-relaxed structure.

Crystal structure
Lattice parameters (Å, degrees): 3.745 3.745 11.383 90.00 90.00 90.00
Element x y z (fractional)
1 La 0.000 0.000 0.000
2 Pm 0.000 0.000 0.336
3 Pm 0.000 0.000 0.664
4 Ag 0.500 0.500 0.177
5 Ag 0.500 0.500 0.500
6 Ag 0.500 0.500 0.823

The 10 most intense peaks (2θ from 10° to 90°), low angle first:
2θ 33.6, 2.665 Å, I 100
2θ 33.8, 2.648 Å, I 50
2θ 48.0, 1.897 Å, I 9
2θ 48.6, 1.873 Å, I 18
2θ 60.0, 1.542 Å, I 18
2θ 60.4, 1.532 Å, I 36
2θ 70.7, 1.333 Å, I 11
2θ 80.1, 1.198 Å, I 7
2θ 81.1, 1.186 Å, I 8
2θ 81.2, 1.184 Å, I 8

Simulated powder diffractogram of Rb2LiGeSb2 for Cu Kα, 1.54184 Å, from a GGA-PBE-relaxed structure.

Crystal structure
Lattice parameters (Å, degrees): 9.633 9.633 9.633 137.11 62.29 137.09
Element x y z (fractional)
1 Rb 0.168 0.241 0.409
2 Rb 0.332 0.741 0.073
3 Rb 0.668 0.259 0.927
4 Rb 0.832 0.759 0.591
5 Li 0.250 0.250 0.000
6 Li 0.750 0.750 0.000
7 Ge 0.250 0.750 0.500
8 Ge 0.750 0.250 0.500
9 Sb 0.090 0.736 0.827
10 Sb 0.410 0.236 0.646
11 Sb 0.590 0.764 0.354
12 Sb 0.910 0.264 0.173

The 10 most intense peaks (2θ from 10° to 90°), low angle first:
2θ 10.7, 8.245 Å, I 18
2θ 25.3, 3.523 Å, I 63
2θ 28.1, 3.176 Å, I 100
2θ 33.5, 2.678 Å, I 55
2θ 36.1, 2.491 Å, I 54
2θ 46.3, 1.960 Å, I 49
2θ 47.8, 1.905 Å, I 29
2θ 51.9, 1.761 Å, I 18
2θ 61.3, 1.513 Å, I 26
2θ 63.2, 1.472 Å, I 16

Simulated powder diffractogram of Mo7P for Cu Kα, 1.54184 Å, from a GGA-PBE-relaxed structure.

Crystal structure
Lattice parameters (Å, degrees): 5.599 5.599 5.599 60.00 60.00 60.00
Element x y z (fractional)
1 Mo 0.000 0.000 0.000
2 Mo 0.000 0.000 0.500
3 Mo 0.000 0.500 0.000
4 Mo 0.000 0.500 0.500
5 Mo 0.500 0.000 0.000
6 Mo 0.500 0.000 0.500
7 Mo 0.500 0.500 0.000
8 P 0.500 0.500 0.500

The 10 most intense peaks (2θ from 10° to 90°), low angle first:
2θ 19.4, 4.571 Å, I 5
2θ 22.5, 3.959 Å, I 3
2θ 32.0, 2.799 Å, I 2
2θ 37.7, 2.387 Å, I 3
2θ 39.4, 2.286 Å, I 100
2θ 45.8, 1.979 Å, I 48
2θ 50.2, 1.816 Å, I 1
2θ 66.8, 1.400 Å, I 30
2θ 80.5, 1.194 Å, I 36
2θ 84.8, 1.143 Å, I 11

Simulated powder diffractogram of SrSb2PdO8 for Cu Kα, 1.54184 Å, from a GGA-PBE-relaxed structure.

Crystal structure
Lattice parameters (Å, degrees): 5.492 5.492 6.499 90.00 90.00 120.00
Element x y z (fractional)
1 Sr 0.000 0.000 0.000
2 Sb 0.333 0.667 0.412
3 Sb 0.667 0.333 0.588
4 Pd 0.000 0.000 0.500
5 O 0.070 0.359 0.637
6 O 0.289 0.930 0.637
7 O 0.333 0.667 0.119
8 O 0.359 0.289 0.363
9 O 0.641 0.711 0.637
10 O 0.667 0.333 0.881
11 O 0.711 0.070 0.363
12 O 0.930 0.641 0.363

The 10 most intense peaks (2θ from 10° to 90°), low angle first:
2θ 13.6, 6.499 Å, I 100
2θ 23.2, 3.838 Å, I 42
2θ 27.4, 3.250 Å, I 22
2θ 32.6, 2.746 Å, I 90
2θ 33.4, 2.683 Å, I 36
2θ 35.5, 2.529 Å, I 26
2θ 43.1, 2.097 Å, I 46
2θ 46.0, 1.972 Å, I 18
2θ 47.4, 1.919 Å, I 21
2θ 58.2, 1.585 Å, I 24

Simulated powder diffractogram of TbDy5Bi6 for Cu Kα, 1.54184 Å, from a GGA-PBE-relaxed structure.

Crystal structure
Lattice parameters (Å, degrees): 7.753 7.753 7.752 99.60 99.60 119.99
Element x y z (fractional)
1 Tb 0.000 0.000 0.000
2 Dy 0.166 0.834 0.500
3 Dy 0.333 0.667 0.000
4 Dy 0.500 0.500 0.500
5 Dy 0.667 0.333 0.000
6 Dy 0.834 0.166 0.500
7 Bi 0.084 0.418 0.251
8 Bi 0.251 0.251 0.750
9 Bi 0.418 0.084 0.251
10 Bi 0.582 0.916 0.749
11 Bi 0.749 0.749 0.250
12 Bi 0.916 0.582 0.749

The 10 most intense peaks (2θ from 10° to 90°), low angle first:
2θ 24.4, 3.655 Å, I 3
2θ 28.2, 3.165 Å, I 100
2θ 40.3, 2.238 Å, I 78
2θ 47.6, 1.909 Å, I 2
2θ 49.9, 1.827 Å, I 28
2θ 58.3, 1.582 Å, I 13
2θ 64.1, 1.452 Å, I 1
2θ 66.0, 1.415 Å, I 37
2θ 73.3, 1.292 Å, I 28
2θ 87.1, 1.119 Å, I 9

Simulated powder diffractogram of CrPbW2 for Cu Kα, 1.54184 Å, from a GGA-PBE-relaxed structure.

Crystal structure
Lattice parameters (Å, degrees): 5.365 5.365 5.365 144.73 130.62 62.13
Element x y z (fractional)
1 Cr 0.000 0.000 0.000
2 Pb 0.500 0.500 0.000
3 W 0.236 0.736 0.500
4 W 0.764 0.264 0.500

The 10 most intense peaks (2θ from 10° to 90°), low angle first:
2θ 29.1, 3.064 Å, I 10
2θ 35.5, 2.529 Å, I 10
2θ 39.2, 2.298 Å, I 24
2θ 39.5, 2.283 Å, I 100
2θ 40.2, 2.241 Å, I 24
2θ 56.6, 1.625 Å, I 9
2θ 57.4, 1.604 Å, I 16
2θ 71.2, 1.324 Å, I 15
2θ 72.6, 1.302 Å, I 21
2θ 84.9, 1.142 Å, I 11

Simulated powder diffractogram of Hf3Zn7Ag for Cu Kα, 1.54184 Å, from a GGA-PBE-relaxed structure.

Crystal structure
Lattice parameters (Å, degrees): 9.888 9.888 12.842 90.00 90.00 162.11
Element x y z (fractional)
1 Hf 0.119 0.881 0.553
2 Hf 0.119 0.881 0.947
3 Hf 0.268 0.732 0.250
4 Hf 0.732 0.268 0.750
5 Hf 0.881 0.119 0.053
6 Hf 0.881 0.119 0.447
7 Zn 0.262 0.738 0.572
8 Zn 0.262 0.738 0.928
9 Zn 0.371 0.629 0.651
10 Zn 0.371 0.629 0.849
11 Zn 0.411 0.589 0.250
12 Zn 0.495 0.505 0.591
13 Zn 0.495 0.505 0.909
14 Zn 0.505 0.495 0.091
15 Zn 0.505 0.495 0.409
16 Zn 0.589 0.411 0.750
17 Zn 0.629 0.371 0.151
18 Zn 0.629 0.371 0.349
19 Zn 0.738 0.262 0.072
20 Zn 0.738 0.262 0.428
21 Ag 0.034 0.966 0.250
22 Ag 0.966 0.034 0.750

The 10 most intense peaks (2θ from 10° to 90°), low angle first:
2θ 22.9, 3.887 Å, I 23
2θ 35.2, 2.552 Å, I 34
2θ 36.2, 2.479 Å, I 100
2θ 36.8, 2.442 Å, I 31
2θ 37.9, 2.375 Å, I 22
2θ 39.9, 2.262 Å, I 21
2θ 42.2, 2.140 Å, I 14
2θ 45.0, 2.016 Å, I 16
2θ 48.9, 1.861 Å, I 16
2θ 60.2, 1.538 Å, I 14

Simulated powder diffractogram of Ca8CuN2 for Cu Kα, 1.54184 Å, from a GGA-PBE-relaxed structure.

Crystal structure
Lattice parameters (Å, degrees): 7.568 7.568 6.591 103.87 103.87 58.92
Element x y z (fractional)
1 Ca 0.108 0.606 0.214
2 Ca 0.135 0.135 0.232
3 Ca 0.364 0.364 0.775
4 Ca 0.394 0.892 0.786
5 Ca 0.606 0.108 0.214
6 Ca 0.636 0.636 0.225
7 Ca 0.865 0.865 0.768
8 Ca 0.892 0.394 0.786
9 Cu 0.500 0.500 0.500
10 N 0.247 0.247 0.001
11 N 0.753 0.753 0.999

The 10 most intense peaks (2θ from 10° to 90°), low angle first:
2θ 13.8, 6.418 Å, I 22
2θ 16.8, 5.262 Å, I 17
2θ 28.2, 3.168 Å, I 42
2θ 29.4, 3.039 Å, I 44
2θ 33.0, 2.714 Å, I 100
2θ 34.1, 2.631 Å, I 44
2θ 37.0, 2.431 Å, I 19
2θ 42.8, 2.112 Å, I 16
2θ 48.2, 1.889 Å, I 55
2θ 48.9, 1.861 Å, I 16